(1)
For PdSe8Cl2, the GGA-PBE geometry in the Materials Project gives the simulated XRD peak list in this record (Cu Kα (weighted mean of Kα1 and Kα2)).
Peak positions follow from Bragg's law for the DFT cell and can differ from measured ones.

Structure:
Unit cell a=9.215 b=14.468 c=10.261 alpha=90.00 beta=90.00 gamma=90.00
Fractional coordinates of all 44 atoms:
Pd: 0.000 0.000 0.000
Pd: 0.000 0.500 0.500
Pd: 0.500 0.000 0.500
Pd: 0.500 0.500 0.000
Se: 0.077 0.122 0.377
Se: 0.077 0.378 0.877
Se: 0.088 0.218 0.194
Se: 0.088 0.282 0.694
Se: 0.130 0.527 0.154
Se: 0.130 0.973 0.654
Se: 0.195 0.113 0.031
Se: 0.195 0.387 0.531
Se: 0.305 0.613 0.031
Se: 0.305 0.887 0.531
Se: 0.370 0.027 0.154
Se: 0.370 0.473 0.654
Se: 0.412 0.718 0.194
Se: 0.412 0.782 0.694
Se: 0.423 0.622 0.377
Se: 0.423 0.878 0.877
Se: 0.577 0.122 0.123
Se: 0.577 0.378 0.623
Se: 0.588 0.218 0.306
Se: 0.588 0.282 0.806
Se: 0.630 0.527 0.346
Se: 0.630 0.973 0.846
Se: 0.695 0.113 0.469
Se: 0.695 0.387 0.969
Se: 0.805 0.613 0.469
Se: 0.805 0.887 0.969
Se: 0.870 0.027 0.346
Se: 0.870 0.473 0.846
Se: 0.912 0.718 0.306
Se: 0.912 0.782 0.806
Se: 0.923 0.622 0.123
Se: 0.923 0.878 0.623
Cl: 0.091 0.602 0.655
Cl: 0.091 0.898 0.155
Cl: 0.409 0.102 0.655
Cl: 0.409 0.398 0.155
Cl: 0.591 0.602 0.845
Cl: 0.591 0.898 0.345
Cl: 0.909 0.102 0.845
Cl: 0.909 0.398 0.345

The 10 most intense peaks (2θ = 10–90°), in order of falling intensity:
2θ (°)	Rel. int.
28.16	100
14.98	96
27.16	95
20.23	75
28.51	72
12.23	59
19.81	51
32.03	44
35.74	43
21.23	42

(2)
For PdSe2Cl6, the GGA-PBE geometry in the Materials Project gives the simulated XRD peak list in this record (Cu Kα (weighted mean of Kα1 and Kα2)).
Peak positions follow from Bragg's law for the DFT cell and can differ from measured ones.

Structure:
Unit cell a=9.860 b=9.860 c=7.709 alpha=99.91 beta=99.91 gamma=53.01
Fractional coordinates of all 18 atoms:
Pd: 0.163 0.837 0.750
Pd: 0.837 0.163 0.250
Se: 0.069 0.735 0.934
Se: 0.265 0.931 0.566
Se: 0.735 0.069 0.434
Se: 0.931 0.265 0.066
Cl: 0.086 0.335 0.232
Cl: 0.087 0.763 0.465
Cl: 0.237 0.913 0.035
Cl: 0.311 0.477 0.956
Cl: 0.335 0.086 0.732
Cl: 0.477 0.311 0.456
Cl: 0.523 0.689 0.544
Cl: 0.665 0.914 0.268
Cl: 0.689 0.523 0.044
Cl: 0.763 0.087 0.965
Cl: 0.913 0.237 0.535
Cl: 0.914 0.665 0.768

The 10 most intense peaks (2θ = 10–90°), in order of falling intensity:
2θ (°)	Rel. int.
16.97	100
10.22	79
11.28	72
30.92	53
23.39	52
34.35	32
23.79	25
35.30	24
49.73	16
20.18	15